Starting from a crystal structure in Alexandria, relaxed with PBE, the powder X-ray diffraction pattern of RbPt4O8 was computed for copper Kα.
Lines closer than 0.1° are merged.

Largest 10 diffraction maxima, sorted by position, 2θ = 10–80°:
| 2theta | d/Å | Rel. int. | index |
| --- | --- | --- | --- |
| 13.3 | 6.680 | 100 | 0 0 3 |
| 26.7 | 3.340 | 23 | 0 0 6 |
| 32.6 | 2.749 | 25 | 0 2 1 |
| 33.5 | 2.674 | 30 | 2 0 2 |
| 37.0 | 2.428 | 37 | 0 2 4 |
| 39.5 | 2.282 | 12 | 2 0 5 |
| 45.5 | 1.993 | 15 | 0 2 7 |
| 49.0 | 1.859 | 14 | 2 0 8 |
| 59.3 | 1.558 | 12 | 2 2 3 |
| 64.5 | 1.445 | 12 | 2 2 6 |

Crystal structure
```
data_RbPt4O8
_chemical_formula_sum 'Rb3 Pt12 O24'
_symmetry_space_group_name_H-M 'R -3 m'
_symmetry_Int_Tables_number 166
_symmetry_space_group_name_Hall '-R 3 2"'
_cell_length_a 6.4089
_cell_length_b 6.4089
_cell_length_c 20.0404
_cell_angle_alpha 90.00
_cell_angle_beta 90.00
_cell_angle_gamma 120.00
loop_
_atom_site_label
_atom_site_type_symbol
_atom_site_fract_x
_atom_site_fract_y
_atom_site_fract_z
Rb1 Rb 0.0000 0.0000 0.0000
Pt1 Pt 0.0000 0.0000 0.5000
Pt2 Pt 0.0000 0.5000 0.5000
O1 O 0.0000 0.0000 0.2136
O2 O 0.0011 0.5006 0.7857
```

=====

Starting from a crystal structure in Alexandria, relaxed with PBE, the powder X-ray diffraction pattern of TmHO2 was computed for copper Kα.
Lines closer than 0.1° are merged.

Largest 10 diffraction maxima, sorted by position, 2θ = 10–80°:
| 2theta | d/Å | Rel. int. | index |
| --- | --- | --- | --- |
| 24.8 | 3.592 | 100 | 1 1 -1 |
| 30.7 | 2.911 | 44 | 1 1 1 |
| 32.0 | 2.799 | 58 | 0 0 2 |
| 33.0 | 2.714 | 24 | 0 2 0 |
| 46.6 | 1.948 | 38 | 0 2 2 |
| 49.3 | 1.849 | 39 | 1 1 -3 |
| 50.8 | 1.796 | 15 | 2 2 -2 |
| 54.2 | 1.693 | 12 | 1 3 -1 |
| 57.5 | 1.602 | 13 | 1 3 1 |
| 59.5 | 1.554 | 17 | 1 1 3 |

Crystal structure
```
data_TmHO2
_chemical_formula_sum 'Tm4 H4 O8'
_symmetry_space_group_name_H-M 'P 1 21/c 1'
_symmetry_Int_Tables_number 14
_symmetry_space_group_name_Hall '-P 2ybc'
_cell_length_a 5.9069
_cell_length_b 5.4289
_cell_length_c 5.8973
_cell_angle_alpha 90.00
_cell_angle_beta 108.50
_cell_angle_gamma 90.00
loop_
_atom_site_label
_atom_site_type_symbol
_atom_site_fract_x
_atom_site_fract_y
_atom_site_fract_z
Tm1 Tm 0.2332 0.0144 0.2470
H1 H 0.2824 0.5277 0.2326
O1 O 0.1315 0.1403 0.8755
O2 O 0.3683 0.6335 0.1438
```

=====

Starting from a crystal structure in Alexandria, relaxed with PBE, the powder X-ray diffraction pattern of K8ZnHg2 was computed for copper Kα.
Lines closer than 0.1° are merged.

Largest 10 diffraction maxima, sorted by position, 2θ = 10–80°:
| 2theta | d/Å | Rel. int. | index |
| --- | --- | --- | --- |
| 10.0 | 8.818 | 25 | 0 0 2 |
| 17.1 | 5.197 | 18 | 0 2 0 |
| 17.2 | 5.148 | 44 | 1 1 0 |
| 17.3 | 5.117 | 36 | 0 1 3 |
| 26.7 | 3.344 | 32 | 0 1 5 |
| 27.4 | 3.254 | 100 | 1 2 3 |
| 29.9 | 2.989 | 23 | 1 3 0 |
| 30.2 | 2.963 | 26 | 2 0 0 |
| 31.6 | 2.833 | 16 | 1 3 2 |
| 51.9 | 1.762 | 17 | 3 2 3 |

Crystal structure
```
data_K8ZnHg2
_chemical_formula_sum 'K16 Zn2 Hg4'
_symmetry_space_group_name_H-M 'I m m m'
_symmetry_Int_Tables_number 71
_symmetry_space_group_name_Hall '-I 2 2'
_cell_length_a 5.9262
_cell_length_b 10.3949
_cell_length_c 17.6368
_cell_angle_alpha 90.00
_cell_angle_beta 90.00
_cell_angle_gamma 90.00
loop_
_atom_site_label
_atom_site_type_symbol
_atom_site_fract_x
_atom_site_fract_y
_atom_site_fract_z
K1 K 0.0000 0.0000 0.1368
K2 K 0.0000 0.2169 0.3390
K3 K 0.0000 0.3185 0.0000
Zn1 Zn 0.0000 0.5000 0.5000
Hg1 Hg 0.0000 0.5000 0.1929
```

=====

Starting from a crystal structure in Alexandria, relaxed with PBE, the powder X-ray diffraction pattern of NpSbSe3 was computed for copper Kα.
Lines closer than 0.1° are merged.

Largest 10 diffraction maxima, sorted by position, 2θ = 10–80°:
| 2theta | d/Å | Rel. int. | index |
| --- | --- | --- | --- |
| 24.0 | 3.712 | 29 | 0 5 1 |
| 26.0 | 3.424 | 29 | 1 4 0 |
| 26.4 | 3.378 | 43 | 1 1 1 |
| 31.0 | 2.882 | 100 | 1 6 0 |
| 31.2 | 2.867 | 41 | 0 2 2 |
| 32.2 | 2.776 | 41 | 1 5 1 |
| 37.3 | 2.412 | 31 | 1 7 1 |
| 38.1 | 2.364 | 33 | 1 2 2 |
| 40.3 | 2.236 | 53 | 1 4 2 |
| 43.3 | 2.091 | 47 | 2 0 0 |

Crystal structure
```
data_NpSbSe3
_chemical_formula_sum 'Np4 Sb4 Se12'
_symmetry_space_group_name_H-M 'A m a 2'
_symmetry_Int_Tables_number 40
_symmetry_space_group_name_Hall 'A 2 -2a'
_cell_length_a 4.1809
_cell_length_b 23.8611
_cell_length_c 5.9066
_cell_angle_alpha 90.00
_cell_angle_beta 90.00
_cell_angle_gamma 90.00
loop_
_atom_site_label
_atom_site_type_symbol
_atom_site_fract_x
_atom_site_fract_y
_atom_site_fract_z
Np1 Np 0.2500 0.1878 0.0000
Sb1 Sb 0.2500 0.3703 0.8813
Se1 Se 0.2500 0.0675 0.2504
Se2 Se 0.2500 0.2261 0.5134
Se3 Se 0.2500 0.3850 0.3213
```

=====

Starting from a crystal structure in Alexandria, relaxed with PBE, the powder X-ray diffraction pattern of PaAgH6Pt was computed for copper Kα.
Lines closer than 0.1° are merged.

Largest 10 diffraction maxima, sorted by position, 2θ = 10–80°:
| 2theta | d/Å | Rel. int. | index |
| --- | --- | --- | --- |
| 22.1 | 4.014 | 7 | 1 0 0 |
| 30.2 | 2.959 | 100 | 1 0 1 |
| 38.9 | 2.318 | 49 | 1 1 0 |
| 41.2 | 2.190 | 14 | 0 0 2 |
| 47.3 | 1.923 | 2 | 1 0 2 |
| 50.0 | 1.825 | 26 | 2 0 1 |
| 57.9 | 1.592 | 31 | 1 1 2 |
| 65.1 | 1.434 | 23 | 2 1 1 |
| 68.4 | 1.372 | 10 | 1 0 3 |
| 70.4 | 1.338 | 9 | 3 0 0 |

Crystal structure
```
data_PaAgH6Pt
_chemical_formula_sum 'Pa1 Ag1 H6 Pt1'
_symmetry_space_group_name_H-M 'P -6 m 2'
_symmetry_Int_Tables_number 187
_symmetry_space_group_name_Hall 'P -6 2'
_cell_length_a 4.6355
_cell_length_b 4.6355
_cell_length_c 4.3800
_cell_angle_alpha 90.00
_cell_angle_beta 90.00
_cell_angle_gamma 120.00
loop_
_atom_site_label
_atom_site_type_symbol
_atom_site_fract_x
_atom_site_fract_y
_atom_site_fract_z
Pa1 Pa 0.0000 0.0000 0.0000
Ag1 Ag 0.3333 0.6667 0.5000
H1 H 0.5118 0.0236 0.1835
Pt1 Pt 0.6667 0.3333 0.5000
```

=====

Starting from a crystal structure in Alexandria, relaxed with PBE, the powder X-ray diffraction pattern of TbMgB4 was computed for copper Kα.
Lines closer than 0.1° are merged.

Largest 10 diffraction maxima, sorted by position, 2θ = 10–80°:
| 2theta | d/Å | Rel. int. | index |
| --- | --- | --- | --- |
| 16.5 | 5.387 | 27 | 1 1 0 |
| 21.1 | 4.216 | 51 | 1 2 0 |
| 24.3 | 3.669 | 54 | 0 0 1 |
| 27.1 | 3.286 | 36 | 1 3 0 |
| 30.5 | 2.935 | 74 | 0 4 0 |
| 32.3 | 2.768 | 42 | 1 2 1 |
| 36.7 | 2.448 | 41 | 1 3 1 |
| 39.3 | 2.292 | 100 | 0 4 1 |
| 55.5 | 1.656 | 21 | 2 5 1 |
| 59.4 | 1.556 | 23 | 0 4 2 |

Crystal structure
```
data_TbMgB4
_chemical_formula_sum 'Tb4 Mg4 B16'
_symmetry_space_group_name_H-M 'P b a m'
_symmetry_Int_Tables_number 55
_symmetry_space_group_name_Hall '-P 2 2ab'
_cell_length_a 6.0642
_cell_length_b 11.7306
_cell_length_c 3.6695
_cell_angle_alpha 90.00
_cell_angle_beta 90.00
_cell_angle_gamma 90.00
loop_
_atom_site_label
_atom_site_type_symbol
_atom_site_fract_x
_atom_site_fract_y
_atom_site_fract_z
Tb1 Tb 0.1266 0.1504 0.0000
Mg1 Mg 0.1369 0.4103 0.0000
B1 B 0.0295 0.6935 0.5000
B2 B 0.1143 0.5470 0.5000
B3 B 0.1320 0.9703 0.5000
B4 B 0.2076 0.8115 0.5000
```

=====

Starting from a crystal structure in Alexandria, relaxed with PBE, the powder X-ray diffraction pattern of MgTcB4 was computed for copper Kα.
Lines closer than 0.1° are merged.

Largest 10 diffraction maxima, sorted by position, 2θ = 10–80°:
| 2theta | d/Å | Rel. int. | index |
| --- | --- | --- | --- |
| 21.6 | 4.123 | 93 | 0 1 1 |
| 26.7 | 3.340 | 40 | 0 0 2 |
| 32.6 | 2.744 | 33 | 1 0 1 |
| 34.2 | 2.620 | 32 | 0 2 0 |
| 34.4 | 2.610 | 60 | 1 1 0 |
| 43.9 | 2.062 | 48 | 0 2 2 |
| 44.0 | 2.057 | 100 | 1 1 2 |
| 48.0 | 1.895 | 22 | 1 2 1 |
| 61.4 | 1.511 | 21 | 1 3 0 |
| 66.4 | 1.407 | 27 | 0 2 4 |

Crystal structure
```
data_MgTcB4
_chemical_formula_sum 'Mg2 Tc2 B8'
_symmetry_space_group_name_H-M 'I m m m'
_symmetry_Int_Tables_number 71
_symmetry_space_group_name_Hall '-I 2 2'
_cell_length_a 3.0100
_cell_length_b 5.2408
_cell_length_c 6.6809
_cell_angle_alpha 90.00
_cell_angle_beta 90.00
_cell_angle_gamma 90.00
loop_
_atom_site_label
_atom_site_type_symbol
_atom_site_fract_x
_atom_site_fract_y
_atom_site_fract_z
Mg1 Mg 0.0000 0.0000 0.0000
Tc1 Tc 0.0000 0.0000 0.5000
B1 B 0.0000 0.3390 0.2543
```

=====

Starting from a crystal structure in Alexandria, relaxed with PBE, the powder X-ray diffraction pattern of TlCl2 was computed for copper Kα.
Lines closer than 0.1° are merged.

Largest 10 diffraction maxima, sorted by position, 2θ = 10–80°:
| 2theta | d/Å | Rel. int. | index |
| --- | --- | --- | --- |
| 20.9 | 4.258 | 100 | 1 1 2 |
| 22.3 | 3.985 | 14 | 0 0 4 |
| 25.0 | 3.562 | 17 | 2 0 0 |
| 33.8 | 2.656 | 38 | 2 0 4 |
| 35.6 | 2.518 | 17 | 2 2 0 |
| 38.3 | 2.350 | 21 | 1 1 6 |
| 41.7 | 2.168 | 34 | 1 3 2 |
| 42.5 | 2.129 | 14 | 2 2 4 |
| 52.6 | 1.739 | 11 | 2 0 8 |
| 53.3 | 1.718 | 18 | 3 1 6 |

Crystal structure
```
data_TlCl2
_chemical_formula_sum 'Tl8 Cl16'
_symmetry_space_group_name_H-M 'I 41/a'
_symmetry_Int_Tables_number 88
_cell_length_a 7.1233
_cell_length_b 7.1233
_cell_length_c 15.9403
_cell_angle_alpha 90.00
_cell_angle_beta 90.00
_cell_angle_gamma 90.00
loop_
_symmetry_equiv_pos_as_xyz
'x,y,z'
'-x,-y,-z'
'-y+3/4,x+1/4,z+1/4'
'y+3/4,-x+1/4,-z+1/4'
'-x+1/2,-y,z+1/2'
'x+1/2,y,-z+1/2'
'y+3/4,-x+3/4,z+3/4'
'-y+3/4,x+3/4,-z+3/4'
'x+1/2,y+1/2,z+1/2'
'-x+1/2,-y+1/2,-z+1/2'
'-y+1/4,x+3/4,z+3/4'
'y+1/4,-x+3/4,-z+3/4'
'-x,-y+1/2,z'
'x,y+1/2,-z'
'y+1/4,-x+1/4,z+1/4'
'-y+1/4,x+1/4,-z+1/4'
loop_
_atom_site_label
_atom_site_type_symbol
_atom_site_fract_x
_atom_site_fract_y
_atom_site_fract_z
Tl1 Tl 0.0000 0.2500 0.1250
Tl2 Tl 0.0000 0.2500 0.6250
Cl1 Cl 0.1604 0.4965 0.2089
```

=====

Starting from a crystal structure in Alexandria, relaxed with PBE, the powder X-ray diffraction pattern of CeSi2Rh was computed for copper Kα.
Lines closer than 0.1° are merged.

Largest 10 diffraction maxima, sorted by position, 2θ = 10–80°:
| 2theta | d/Å | Rel. int. | index |
| --- | --- | --- | --- |
| 21.1 | 4.208 | 25 | 0 4 0 |
| 30.2 | 2.958 | 45 | 0 4 1 |
| 30.8 | 2.905 | 100 | 1 1 1 |
| 34.2 | 2.622 | 79 | 1 5 0 |
| 34.4 | 2.610 | 69 | 1 3 1 |
| 38.7 | 2.326 | 32 | 0 6 1 |
| 43.3 | 2.090 | 35 | 2 0 0 |
| 43.5 | 2.080 | 35 | 0 0 2 |
| 53.7 | 1.707 | 40 | 1 9 0 |
| 56.5 | 1.630 | 37 | 1 5 2 |

Crystal structure
```
data_CeSi2Rh
_chemical_formula_sum 'Ce4 Si8 Rh4'
_symmetry_space_group_name_H-M 'C m c m'
_symmetry_Int_Tables_number 63
_symmetry_space_group_name_Hall '-C 2c 2'
_cell_length_a 4.1801
_cell_length_b 16.8305
_cell_length_c 4.1604
_cell_angle_alpha 90.00
_cell_angle_beta 90.00
_cell_angle_gamma 90.00
loop_
_atom_site_label
_atom_site_type_symbol
_atom_site_fract_x
_atom_site_fract_y
_atom_site_fract_z
Ce1 Ce 0.0000 0.1053 0.2500
Si1 Si 0.0000 0.2499 0.7500
Si2 Si 0.0000 0.4632 0.2500
Rh1 Rh 0.0000 0.3223 0.2500
```

=====

Starting from a crystal structure in Alexandria, relaxed with PBE, the powder X-ray diffraction pattern of Pr3Er4Cd was computed for copper Kα.
Lines closer than 0.1° are merged.

Largest 10 diffraction maxima, sorted by position, 2θ = 10–80°:
| 2theta | d/Å | Rel. int. | index |
| --- | --- | --- | --- |
| 28.3 | 3.150 | 6 | 1 0 3 |
| 31.0 | 2.889 | 100 | 1 0 4 |
| 35.1 | 2.560 | 41 | 1 1 0 |
| 37.5 | 2.397 | 11 | 0 0 8 |
| 48.7 | 1.870 | 7 | 1 1 7 |
| 50.4 | 1.810 | 14 | 2 0 0 |
| 52.3 | 1.750 | 16 | 1 1 8 |
| 58.8 | 1.570 | 10 | 1 0 11 |
| 60.3 | 1.534 | 31 | 2 1 4 |
| 64.5 | 1.445 | 9 | 2 0 8 |

Crystal structure
```
data_Pr3Er4Cd
_chemical_formula_sum 'Pr3 Er4 Cd1'
_symmetry_space_group_name_H-M 'P 4/m m m'
_symmetry_Int_Tables_number 123
_symmetry_space_group_name_Hall '-P 4 2'
_cell_length_a 3.6203
_cell_length_b 3.6203
_cell_length_c 19.1765
_cell_angle_alpha 90.00
_cell_angle_beta 90.00
_cell_angle_gamma 90.00
loop_
_atom_site_label
_atom_site_type_symbol
_atom_site_fract_x
_atom_site_fract_y
_atom_site_fract_z
Pr1 Pr 0.0000 0.0000 0.0000
Pr2 Pr 0.0000 0.0000 0.2649
Er1 Er 0.5000 0.5000 0.1324
Er2 Er 0.5000 0.5000 0.3964
Cd1 Cd 0.0000 0.0000 0.5000
```

=====

Starting from a crystal structure in Alexandria, relaxed with PBE, the powder X-ray diffraction pattern of Li3B4C4 was computed for copper Kα.
Lines closer than 0.1° are merged.

Largest 10 diffraction maxima, sorted by position, 2θ = 10–80°:
| 2theta | d/Å | Rel. int. | index |
| --- | --- | --- | --- |
| 12.3 | 7.182 | 9 | 1 0 0 |
| 15.5 | 5.720 | 3 | 1 0 -1 |
| 24.8 | 3.591 | 100 | 2 0 0 |
| 38.1 | 2.363 | 9 | 0 0 4 |
| 45.9 | 1.977 | 26 | 2 0 -4 |
| 46.1 | 1.971 | 27 | 2 1 2 |
| 50.9 | 1.796 | 17 | 4 0 0 |
| 68.8 | 1.364 | 18 | 0 2 0 |
| 74.2 | 1.278 | 3 | 2 1 -6 |
| 74.5 | 1.274 | 6 | 2 1 6 |

Crystal structure
```
data_Li3B4C4
_chemical_formula_sum 'Li6 B8 C8'
_symmetry_space_group_name_H-M 'P 1 21/m 1'
_symmetry_Int_Tables_number 11
_symmetry_space_group_name_Hall '-P 2yb'
_cell_length_a 7.1824
_cell_length_b 2.7272
_cell_length_c 9.4558
_cell_angle_alpha 90.00
_cell_angle_beta 90.31
_cell_angle_gamma 90.00
loop_
_atom_site_label
_atom_site_type_symbol
_atom_site_fract_x
_atom_site_fract_y
_atom_site_fract_z
Li1 Li 0.0024 0.2500 0.3748
Li2 Li 0.0047 0.7500 0.1246
Li3 Li 0.4970 0.2500 0.8577
B1 B 0.2414 0.7500 0.7913
B2 B 0.2455 0.2500 0.5431
B3 B 0.2503 0.7500 0.2953
B4 B 0.2526 0.2500 0.0431
C1 C 0.2357 0.2500 0.7097
C2 C 0.2387 0.7500 0.4604
C3 C 0.2505 0.2500 0.2099
C4 C 0.2497 0.7500 0.9590
```

=====

Starting from a crystal structure in Alexandria, relaxed with PBE, the powder X-ray diffraction pattern of Ti2ZnP2O10 was computed for copper Kα.
Lines closer than 0.1° are merged.

Largest 10 diffraction maxima, sorted by position, 2θ = 10–80°:
| 2theta | d/Å | Rel. int. | index |
| --- | --- | --- | --- |
| 15.1 | 5.885 | 26 | 1 1 1 |
| 20.8 | 4.264 | 25 | 1 3 1 |
| 25.7 | 3.461 | 34 | 2 4 0 |
| 25.9 | 3.444 | 17 | 0 2 2 |
| 26.9 | 3.309 | 73 | 3 1 1 |
| 28.6 | 3.124 | 64 | 2 0 2 |
| 29.3 | 3.053 | 100 | 1 5 1 |
| 30.4 | 2.942 | 25 | 2 2 2 |
| 41.3 | 2.186 | 27 | 4 2 2 |
| 51.0 | 1.790 | 23 | 3 5 3 |

Crystal structure
```
data_Ti2ZnP2O10
_chemical_formula_sum 'Ti16 Zn8 P16 O80'
_symmetry_space_group_name_H-M 'F d d 2'
_symmetry_Int_Tables_number 43
_symmetry_space_group_name_Hall 'F 2 -2d'
_cell_length_a 11.3186
_cell_length_b 17.4970
_cell_length_c 7.4940
_cell_angle_alpha 90.00
_cell_angle_beta 90.00
_cell_angle_gamma 90.00
loop_
_atom_site_label
_atom_site_type_symbol
_atom_site_fract_x
_atom_site_fract_y
_atom_site_fract_z
Ti1 Ti 0.1179 0.1599 0.0000
Zn1 Zn 0.0000 0.0000 0.3965
P1 P 0.0135 0.1851 0.4154
O1 O 0.0073 0.1075 0.8819
O2 O 0.0176 0.3904 0.0165
O3 O 0.0290 0.1647 0.2163
O4 O 0.0994 0.2610 0.9232
O5 O 0.1166 0.2298 0.4888
```

=====

Question: Number 3 is which compound?
Answer: K8ZnHg2